# Y5Hg4Ru
Computed PXRD pattern, CuKα. Input: the PBE geometry in Alexandria.
Kinematic intensities with the Lorentz-polarization factor, no thermal factor.

Top 6 peaks for 10° ≤ 2θ ≤ 80°, in order of falling intensity:
| Position (°2θ) | d (Å) | intensity | h k l |
| --- | --- | --- | --- |
| 34.36 | 2.610 | 100 | 1 0 5 |
| 35.18 | 2.551 | 49 | 1 1 0 |
| 62.60 | 1.484 | 35 | 2 1 5 |
| 50.61 | 1.804 | 17 | 2 0 0 |
| 61.01 | 1.519 | 17 | 1 1 10 |
| 24.68 | 3.607 | 13 | 1 0 0 |

Structure:
```
Y5Hg4Ru
1.0
3.6074 0.0000 0.0000
0.0000 3.6074 0.0000
0.0000 0.0000 18.9046
Y Hg Ru
5 4 1
Cartesian
0.0000 0.0000 0.0000
0.0000 0.0000 3.8759
0.0000 0.0000 7.8307
0.0000 0.0000 11.0739
0.0000 0.0000 15.0287
1.8037 1.8037 1.9349
1.8037 1.8037 5.7971
1.8037 1.8037 13.1075
1.8037 1.8037 16.9697
1.8037 1.8037 9.4523
```